Record 1
Diffraction record for Mg16Al12Br. The PXRD pattern is theoretical, not measured: it uses a DFT-relaxed cell (GGA-PBE, Alexandria) and Cu Ka.
Peak positions follow from Bragg's law for the DFT cell and can differ from measured ones.

Peak list (6 most intense, 10 to 90 degrees two-theta, low angle first)
| two_theta | intensity |
| --- | --- |
| 11.81 | 18 |
| 35.94 | 100 |
| 39.88 | 30 |
| 43.53 | 16 |
| 61.89 | 16 |
| 64.60 | 22 |

Structural model:
abc: 9.181 9.181 9.181
angles: 109.47 109.47 109.47
Fractional positions:
Mg: 0.000 0.000 0.316
Mg: 0.000 0.311 0.591
Mg: 0.000 0.316 0.000
Mg: 0.000 0.591 0.311
Mg: 0.280 0.689 0.689
Mg: 0.311 0.000 0.591
Mg: 0.311 0.591 0.000
Mg: 0.316 0.000 0.000
Mg: 0.409 0.409 0.720
Mg: 0.409 0.720 0.409
Mg: 0.591 0.000 0.311
Mg: 0.591 0.311 0.000
Mg: 0.684 0.684 0.684
Mg: 0.689 0.280 0.689
Mg: 0.689 0.689 0.280
Mg: 0.720 0.409 0.409
Al: 0.000 0.621 0.811
Al: 0.000 0.811 0.621
Al: 0.189 0.189 0.810
Al: 0.189 0.810 0.189
Al: 0.190 0.379 0.379
Al: 0.379 0.190 0.379
Al: 0.379 0.379 0.190
Al: 0.621 0.000 0.811
Al: 0.621 0.811 0.000
Al: 0.810 0.189 0.189
Al: 0.811 0.000 0.621
Al: 0.811 0.621 0.000
Br: 0.000 0.000 0.000

=====

Record 2
Diffraction record for Sm2ErPuSe4. The PXRD pattern is theoretical, not measured: it uses a DFT-relaxed cell (GGA-PBE, Alexandria) and Cu Ka.
Peak positions follow from Bragg's law for the DFT cell and can differ from measured ones.

Peak list (6 most intense, 10 to 90 degrees two-theta, low angle first)
| two_theta | intensity |
| --- | --- |
| 26.33 | 13 |
| 26.53 | 13 |
| 30.61 | 100 |
| 43.57 | 13 |
| 43.85 | 50 |
| 54.64 | 13 |

Structural model:
abc: 7.155 4.108 7.175
angles: 90.00 109.12 90.00
Fractional positions:
Sm: 0.000 0.000 0.000
Sm: 0.500 0.500 0.000
Er: 0.000 0.500 0.500
Pu: 0.500 0.000 0.500
Se: 0.243 0.000 0.741
Se: 0.248 0.500 0.256
Se: 0.752 0.500 0.744
Se: 0.757 0.000 0.259

=====

Record 3
Diffraction record for Tm6TlRh5. The PXRD pattern is theoretical, not measured: it uses a DFT-relaxed cell (GGA-PBE, Alexandria) and Cu Ka.
Peak positions follow from Bragg's law for the DFT cell and can differ from measured ones.

Peak list (6 most intense, 10 to 90 degrees two-theta, low angle first)
| two_theta | intensity |
| --- | --- |
| 36.66 | 100 |
| 37.48 | 23 |
| 37.61 | 24 |
| 51.47 | 9 |
| 65.43 | 18 |
| 67.17 | 17 |

Structural model:
abc: 4.783 7.102 7.580
angles: 90.00 108.23 90.00
Fractional positions:
Tm: 0.000 0.232 0.000
Tm: 0.000 0.768 0.000
Tm: 0.328 0.245 0.655
Tm: 0.328 0.755 0.655
Tm: 0.672 0.245 0.345
Tm: 0.672 0.755 0.345
Tl: 0.500 0.500 0.000
Rh: 0.166 0.500 0.332
Rh: 0.167 0.000 0.334
Rh: 0.500 0.000 0.000
Rh: 0.833 0.000 0.666
Rh: 0.834 0.500 0.668

=====

Record 4
Diffraction record for Pr2Y3Au2. The PXRD pattern is theoretical, not measured: it uses a DFT-relaxed cell (GGA-PBE, Alexandria) and Cu Ka.
Peak positions follow from Bragg's law for the DFT cell and can differ from measured ones.

Peak list (6 most intense, 10 to 90 degrees two-theta, low angle first)
| two_theta | intensity |
| --- | --- |
| 30.58 | 82 |
| 31.44 | 50 |
| 33.04 | 63 |
| 33.17 | 100 |
| 33.38 | 84 |
| 38.15 | 60 |

Structural model:
abc: 13.041 3.764 9.336
angles: 90.00 116.87 90.00
Fractional positions:
Pr: 0.153 0.000 0.314
Pr: 0.347 0.500 0.686
Pr: 0.653 0.500 0.314
Pr: 0.847 0.000 0.686
Y: 0.000 0.500 0.500
Y: 0.114 0.500 0.946
Y: 0.386 0.000 0.054
Y: 0.500 0.000 0.500
Y: 0.614 0.000 0.946
Y: 0.886 0.500 0.054
Au: 0.165 0.000 0.735
Au: 0.335 0.500 0.265
Au: 0.665 0.500 0.735
Au: 0.835 0.000 0.265